No. 1
HfThCd4: theoretical X-ray powder pattern (Cu Kα (weighted mean of Kα1 and Kα2)), based on a crystal structure in Alexandria, relaxed with PBE.
Kinematic intensities with the Lorentz-polarization factor, no thermal factor.

Atomic structure:
```
data_HfThCd4
_chemical_formula_sum 'Hf1 Th1 Cd4'
_cell_length_a 5.8419
_cell_length_b 5.8419
_cell_length_c 5.8419
_cell_angle_alpha 60.00
_cell_angle_beta 60.00
_cell_angle_gamma 60.00
_symmetry_space_group_name_H-M 'P 1'
_symmetry_Int_Tables_number 1
_symmetry_space_group_name_Hall 'P 1'
loop_
_atom_site_label
_atom_site_type_symbol
_atom_site_fract_x
_atom_site_fract_y
_atom_site_fract_z
Hf1 Hf 0.0000 0.0000 0.0000
Th1 Th 0.2500 0.2500 0.2500
Cd1 Cd 0.1230 0.6257 0.6257
Cd2 Cd 0.6257 0.1230 0.6257
Cd3 Cd 0.6257 0.6257 0.1230
Cd4 Cd 0.6257 0.6257 0.6257
```

Peak list (6 most intense, 10 to 90 degrees two-theta, by angle)
30.6 deg, I 465
36.1 deg, I 1000
37.7 deg, I 238
54.4 deg, I 190
58.0 deg, I 334
63.7 deg, I 260

---

No. 2
HfTh2Cd: theoretical X-ray powder pattern (Cu Kα (weighted mean of Kα1 and Kα2)), based on a crystal structure in Alexandria, relaxed with PBE.
Kinematic intensities with the Lorentz-polarization factor, no thermal factor.

Atomic structure:
```
data_HfTh2Cd
_chemical_formula_sum 'Hf1 Th2 Cd1'
_cell_length_a 3.3626
_cell_length_b 3.3626
_cell_length_c 9.9008
_cell_angle_alpha 90.00
_cell_angle_beta 90.00
_cell_angle_gamma 90.00
_symmetry_space_group_name_H-M 'P 1'
_symmetry_Int_Tables_number 1
_symmetry_space_group_name_Hall 'P 1'
loop_
_atom_site_label
_atom_site_type_symbol
_atom_site_fract_x
_atom_site_fract_y
_atom_site_fract_z
Hf1 Hf 0.0000 0.0000 0.0000
Th1 Th 0.5000 0.5000 0.2425
Th2 Th 0.5000 0.5000 0.7575
Cd1 Cd 0.0000 0.0000 0.5000
```

Peak list (6 most intense, 10 to 90 degrees two-theta, by angle)
32.2 deg, I 1000
36.3 deg, I 179
37.8 deg, I 327
53.4 deg, I 239
62.7 deg, I 144
64.8 deg, I 273

---

No. 3
HfTi4Cd2: theoretical X-ray powder pattern (Cu Kα (weighted mean of Kα1 and Kα2)), based on a crystal structure in Alexandria, relaxed with PBE.
Kinematic intensities with the Lorentz-polarization factor, no thermal factor.

Atomic structure:
```
data_HfTi4Cd2
_chemical_formula_sum 'Hf1 Ti4 Cd2'
_cell_length_a 10.5745
_cell_length_b 10.5745
_cell_length_c 2.9800
_cell_angle_alpha 90.00
_cell_angle_beta 90.00
_cell_angle_gamma 156.09
_symmetry_space_group_name_H-M 'P 1'
_symmetry_Int_Tables_number 1
_symmetry_space_group_name_Hall 'P 1'
loop_
_atom_site_label
_atom_site_type_symbol
_atom_site_fract_x
_atom_site_fract_y
_atom_site_fract_z
Hf1 Hf 0.0000 0.0000 0.0000
Ti1 Ti 0.1407 0.8593 0.0000
Ti2 Ti 0.4307 0.5693 0.5000
Ti3 Ti 0.5693 0.4307 0.5000
Ti4 Ti 0.8593 0.1407 0.0000
Cd1 Cd 0.2913 0.7087 0.5000
Cd2 Cd 0.7087 0.2913 0.5000
```

Peak list (6 most intense, 10 to 90 degrees two-theta, by angle)
17.1 deg, I 174
24.1 deg, I 239
31.2 deg, I 212
36.7 deg, I 1000
41.2 deg, I 200
42.7 deg, I 207

---

No. 4
HfTi3Cd: theoretical X-ray powder pattern (Cu Kα (weighted mean of Kα1 and Kα2)), based on a crystal structure in Alexandria, relaxed with PBE.
Kinematic intensities with the Lorentz-polarization factor, no thermal factor.

Atomic structure:
```
data_HfTi3Cd
_chemical_formula_sum 'Hf2 Ti6 Cd2'
_cell_length_a 7.0605
_cell_length_b 2.9906
_cell_length_c 9.2877
_cell_angle_alpha 90.00
_cell_angle_beta 90.00
_cell_angle_gamma 90.00
_symmetry_space_group_name_H-M 'P 1'
_symmetry_Int_Tables_number 1
_symmetry_space_group_name_Hall 'P 1'
loop_
_atom_site_label
_atom_site_type_symbol
_atom_site_fract_x
_atom_site_fract_y
_atom_site_fract_z
Hf1 Hf 0.0000 0.0000 0.0000
Hf2 Hf 0.5000 0.0000 0.0000
Ti1 Ti 0.0709 0.5000 0.2919
Ti2 Ti 0.2500 0.5000 0.8073
Ti3 Ti 0.4291 0.5000 0.2919
Ti4 Ti 0.5709 0.5000 0.7081
Ti5 Ti 0.7500 0.5000 0.1927
Ti6 Ti 0.9291 0.5000 0.7081
Cd1 Cd 0.2500 0.0000 0.5351
Cd2 Cd 0.7500 0.0000 0.4649
```

Peak list (6 most intense, 10 to 90 degrees two-theta, by angle)
19.1 deg, I 368
27.0 deg, I 854
35.7 deg, I 1000
38.7 deg, I 852
40.7 deg, I 899
49.7 deg, I 268

---

Please write out number 1 again, unchanged.
HfThCd4: theoretical X-ray powder pattern (Cu Kα (weighted mean of Kα1 and Kα2)), based on a crystal structure in Alexandria, relaxed with PBE.
Kinematic intensities with the Lorentz-polarization factor, no thermal factor.

Atomic structure:
```
data_HfThCd4
_chemical_formula_sum 'Hf1 Th1 Cd4'
_cell_length_a 5.8419
_cell_length_b 5.8419
_cell_length_c 5.8419
_cell_angle_alpha 60.00
_cell_angle_beta 60.00
_cell_angle_gamma 60.00
_symmetry_space_group_name_H-M 'P 1'
_symmetry_Int_Tables_number 1
_symmetry_space_group_name_Hall 'P 1'
loop_
_atom_site_label
_atom_site_type_symbol
_atom_site_fract_x
_atom_site_fract_y
_atom_site_fract_z
Hf1 Hf 0.0000 0.0000 0.0000
Th1 Th 0.2500 0.2500 0.2500
Cd1 Cd 0.1230 0.6257 0.6257
Cd2 Cd 0.6257 0.1230 0.6257
Cd3 Cd 0.6257 0.6257 0.1230
Cd4 Cd 0.6257 0.6257 0.6257
```

Peak list (6 most intense, 10 to 90 degrees two-theta, by angle)
30.6 deg, I 465
36.1 deg, I 1000
37.7 deg, I 238
54.4 deg, I 190
58.0 deg, I 334
63.7 deg, I 260